Entry 1:
# Ca2Os2O7
Calculated PXRD pattern, a wavelength of 1.5418 Å. Input: DFT lattice parameters and positions (GGA-PBE).
No peak broadening, texture or thermal motion is included.

Atomic structure:
```
data_Ca2Os2O7
_cell_length_a 7.258
_cell_length_b 10.238
_cell_length_c 7.482
_cell_angle_alpha 90.00
_cell_angle_beta 90.00
_cell_angle_gamma 90.00
_space_group_name_H-M_alt 'I m m a'
_space_group_IT_number 74
_space_group_name_Hall '-I 2b 2'
loop_
_atom_site_label
_atom_site_fract_x
_atom_site_fract_y
_atom_site_fract_z
_atom_site_occupancy
Ca1 0.000 0.000 0.000 1
Ca2 0.250 0.250 0.250 1
Os1 0.000 0.000 0.500 1
Os2 0.250 0.250 0.750 1
O1 0.000 0.097 0.269 1
O2 0.000 0.250 0.835 1
O3 0.202 0.117 0.568 1
```

Largest 12 diffraction maxima, sorted by position, 15° ≤ 2θ ≤ 90°:
17.02°, I 43, (1 0 1)
24.38°, I 37, (1 2 1)
28.72°, I 42, (0 3 1)
29.58°, I 100, (0 2 2)
30.19°, I 90, (2 2 0)
34.43°, I 46, (2 0 2)
35.06°, I 22, (0 4 0)
49.96°, I 56, (2 4 2)
50.28°, I 15, (4 0 0)
58.35°, I 33, (2 2 4)
59.42°, I 27, (4 2 2)
81.62°, I 18, (2 0 6)

***

Entry 2:
# CaOs3O12
Calculated PXRD pattern, a wavelength of 1.5418 Å. Input: DFT lattice parameters and positions (GGA-PBE).
No peak broadening, texture or thermal motion is included.

Atomic structure:
```
data_CaOs3O12
_cell_length_a 9.9491
_cell_length_b 9.9491
_cell_length_c 24.6363
_cell_angle_alpha 90.00
_cell_angle_beta 90.00
_cell_angle_gamma 120.00
_space_group_name_H-M_alt 'R 3 c'
_space_group_IT_number 161
_space_group_name_Hall 'R 3 -2"c'
loop_
_atom_site_label
_atom_site_fract_x
_atom_site_fract_y
_atom_site_fract_z
_atom_site_occupancy
Ca1 0.0000 0.0000 0.0000 1
Os1 0.0236 0.2959 0.3813 1
O1 0.0132 0.1932 0.4412 1
O2 0.1366 0.4576 0.7148 1
O3 0.1568 0.4851 0.9927 1
O4 0.2047 0.4598 0.3755 1
```

Largest 12 diffraction maxima, sorted by position, 15° ≤ 2θ ≤ 90°:
17.83°, I 12, (1 1 0)
20.88°, I 100, (1 1 3)
21.64°, I 23, (0 0 6)
21.86°, I 11, (2 0 2)
25.23°, I 7, (0 2 4)
27.63°, I 18, (2 1 1)
28.18°, I 14, (1 1 6)
31.13°, I 13, (3 0 0)
37.50°, I 18, (1 1 9)
37.81°, I 7, (1 3 1)
38.24°, I 12, (0 3 6)
49.72°, I 7, (2 3 5)

***

Entry 3:
# Rb3CaOs2O8
Calculated PXRD pattern, a wavelength of 1.5418 Å. Input: DFT lattice parameters and positions (GGA-PBE).
No peak broadening, texture or thermal motion is included.

Atomic structure:
```
data_Rb3CaOs2O8
_cell_length_a 6.1693
_cell_length_b 6.1693
_cell_length_c 8.0919
_cell_angle_alpha 90.00
_cell_angle_beta 90.00
_cell_angle_gamma 120.00
_space_group_name_H-M_alt 'P -3 m 1'
_space_group_IT_number 164
_space_group_name_Hall '-P 3 2"'
loop_
_atom_site_label
_atom_site_fract_x
_atom_site_fract_y
_atom_site_fract_z
_atom_site_occupancy
Rb1 0.0000 0.0000 0.0000 1
Rb2 0.3333 0.6667 0.6627 1
Ca1 0.0000 0.0000 0.5000 1
Os1 0.3333 0.6667 0.2253 1
O1 0.1765 0.3530 0.3251 1
O2 0.3333 0.6667 0.0051 1
```

Largest 12 diffraction maxima, sorted by position, 15° ≤ 2θ ≤ 90°:
16.59°, I 18, (1 0 0)
19.91°, I 55, (0 1 1)
21.97°, I 16, (0 0 2)
27.66°, I 72, (0 1 2)
28.95°, I 100, (1 1 0)
36.63°, I 15, (1 1 2)
37.35°, I 20, (1 0 3)
40.46°, I 38, (2 0 2)
50.51°, I 27, (1 2 2)
51.30°, I 20, (3 0 0)
56.96°, I 13, (2 1 3)
59.98°, I 17, (2 2 0)

***

Entry 4:
# SrCaOs2O8
Calculated PXRD pattern, a wavelength of 1.5418 Å. Input: DFT lattice parameters and positions (GGA-PBE).
No peak broadening, texture or thermal motion is included.

Atomic structure:
```
data_SrCaOs2O8
_cell_length_a 5.398
_cell_length_b 5.398
_cell_length_c 11.876
_cell_angle_alpha 90.00
_cell_angle_beta 90.00
_cell_angle_gamma 90.00
_space_group_name_H-M_alt 'I -4'
_space_group_IT_number 82
loop_
_space_group_symop_operation_xyz
'x,y,z'
'y,-x,-z'
'-x,-y,z'
'-y,x,-z'
'x+1/2,y+1/2,z+1/2'
'y+1/2,-x+1/2,-z+1/2'
'-x+1/2,-y+1/2,z+1/2'
'-y+1/2,x+1/2,-z+1/2'
loop_
_atom_site_label
_atom_site_fract_x
_atom_site_fract_y
_atom_site_fract_z
_atom_site_occupancy
Sr1 0.000 0.000 0.000 1
Ca1 0.000 0.500 0.750 1
Os1 0.000 0.000 0.500 1
Os2 0.000 0.500 0.250 1
O1 0.142 0.245 0.583 1
O2 0.156 0.742 0.171 1
```

Largest 12 diffraction maxima, sorted by position, 15° ≤ 2θ ≤ 90°:
18.05°, I 38, (1 0 1)
27.78°, I 100, (1 1 2)
27.95°, I 16, (1 0 3)
30.10°, I 15, (0 0 4)
33.19°, I 21, (2 0 0)
38.04°, I 10, (1 2 1)
45.41°, I 30, (2 0 4)
47.65°, I 13, (2 2 0)
52.04°, I 17, (1 1 6)
56.06°, I 29, (1 3 2)
57.39°, I 12, (2 2 4)
73.22°, I 13, (3 1 6)

***

Entry 5:
# CaPO4
Calculated PXRD pattern, a wavelength of 1.5418 Å. Input: DFT lattice parameters and positions (GGA-PBE).
No peak broadening, texture or thermal motion is included.

Atomic structure:
```
data_CaPO4
_cell_length_a 4.967
_cell_length_b 4.967
_cell_length_c 11.637
_cell_angle_alpha 90.00
_cell_angle_beta 90.00
_cell_angle_gamma 90.00
_space_group_name_H-M_alt 'I 41/a'
_space_group_IT_number 88
loop_
_space_group_symop_operation_xyz
'x,y,z'
'-x,-y,-z'
'-y+3/4,x+1/4,z+1/4'
'y+3/4,-x+1/4,-z+1/4'
'-x+1/2,-y,z+1/2'
'x+1/2,y,-z+1/2'
'y+3/4,-x+3/4,z+3/4'
'-y+3/4,x+3/4,-z+3/4'
'x+1/2,y+1/2,z+1/2'
'-x+1/2,-y+1/2,-z+1/2'
'-y+1/4,x+3/4,z+3/4'
'y+1/4,-x+3/4,-z+3/4'
'-x,-y+1/2,z'
'x,y+1/2,-z'
'y+1/4,-x+1/4,z+1/4'
'-y+1/4,x+1/4,-z+1/4'
loop_
_atom_site_label
_atom_site_fract_x
_atom_site_fract_y
_atom_site_fract_z
_atom_site_occupancy
Ca1 0.000 0.250 0.125 1
P1 0.000 0.250 0.625 1
O1 0.110 0.489 0.697 1
```

Largest 12 diffraction maxima, sorted by position, 15° ≤ 2θ ≤ 90°:
29.71°, I 100, (1 1 2)
30.73°, I 13, (0 0 4)
36.17°, I 11, (2 0 0)
40.25°, I 12, (1 1 4)
41.38°, I 15, (2 1 1)
47.15°, I 10, (1 2 3)
48.18°, I 25, (2 0 4)
54.01°, I 14, (1 1 6)
61.12°, I 21, (1 3 2)
61.70°, I 10, (2 2 4)
75.79°, I 8, (2 0 8)
78.34°, I 13, (3 1 6)

***

Entry 6:
# Ca5P2O
Calculated PXRD pattern, a wavelength of 1.5418 Å. Input: DFT lattice parameters and positions (GGA-PBE).
No peak broadening, texture or thermal motion is included.

Atomic structure:
```
data_Ca5P2O
_cell_length_a 5.558
_cell_length_b 12.570
_cell_length_c 12.747
_cell_angle_alpha 90.00
_cell_angle_beta 90.00
_cell_angle_gamma 90.00
_space_group_name_H-M_alt 'C m c m'
_space_group_IT_number 63
_space_group_name_Hall '-C 2c 2'
loop_
_atom_site_label
_atom_site_fract_x
_atom_site_fract_y
_atom_site_fract_z
_atom_site_occupancy
Ca1 0.000 0.056 0.126 1
Ca2 0.000 0.283 0.750 1
Ca3 0.000 0.325 0.098 1
P1 0.000 0.159 0.567 1
O1 0.000 0.198 0.250 1
```

Largest 12 diffraction maxima, sorted by position, 15° ≤ 2θ ≤ 90°:
17.45°, I 62, (1 1 0)
25.30°, I 55, (0 2 3)
26.64°, I 21, (1 3 0)
27.36°, I 35, (1 1 3)
27.56°, I 31, (1 3 1)
32.21°, I 100, (2 0 0)
35.53°, I 93, (0 4 3)
39.03°, I 21, (1 3 4)
39.55°, I 20, (1 1 5)
41.39°, I 26, (2 2 3)
45.00°, I 22, (0 2 6)
48.71°, I 69, (2 4 3)